[1]
Diffraction record for Nd2Pd9Pb. The powder XRD pattern is calculated, not measured: it uses a structure optimized by DFT (PBE) and λ = 1.5418 Å (Cu Kα).

a = 4.186 Å, b = 4.186 Å, c = 12.443 Å
α = 90.00°, β = 90.00°, γ = 90.00°
Fractional coordinates of all 12 atoms:
Nd 0.000 0.000 0.169
Nd 0.000 0.000 0.831
Pd 0.000 0.500 0.000
Pd 0.000 0.500 0.340
Pd 0.000 0.500 0.660
Pd 0.500 0.000 0.000
Pd 0.500 0.000 0.340
Pd 0.500 0.000 0.660
Pd 0.500 0.500 0.171
Pd 0.500 0.500 0.500
Pd 0.500 0.500 0.829
Pb 0.000 0.000 0.500

Most intense lines, 2θ from 5° to 70°, by intensity:
- 37.32 deg, I 100
- 43.23 deg, I 33
- 63.11 deg, I 21
- 43.64 deg, I 16
- 62.79 deg, I 11
- 7.10 deg, I 3
- 21.23 deg, I 3
- 30.34 deg, I 2
- 48.69 deg, I 1
- 21.42 deg, I 1

[2]
Diffraction record for Nd2Pd4Pb3. The powder XRD pattern is calculated, not measured: it uses a structure optimized by DFT (PBE) and λ = 1.5418 Å (Cu Kα).

a = 9.159 Å, b = 9.159 Å, c = 7.538 Å
α = 90.00°, β = 90.00°, γ = 139.24°
Fractional coordinates of all 18 atoms:
Nd 0.103 0.897 0.911
Nd 0.397 0.603 0.411
Nd 0.603 0.397 0.589
Nd 0.897 0.103 0.089
Pd 0.162 0.838 0.520
Pd 0.179 0.321 0.750
Pd 0.321 0.179 0.250
Pd 0.338 0.662 0.020
Pd 0.662 0.338 0.980
Pd 0.679 0.821 0.750
Pd 0.821 0.679 0.250
Pd 0.838 0.162 0.480
Pb 0.000 0.000 0.500
Pb 0.012 0.488 0.750
Pb 0.488 0.012 0.250
Pb 0.500 0.500 0.000
Pb 0.512 0.988 0.750
Pb 0.988 0.512 0.250

Most intense lines, 2θ from 5° to 70°, by intensity:
- 36.92 deg, I 100
- 31.89 deg, I 61
- 39.54 deg, I 47
- 32.21 deg, I 34
- 66.21 deg, I 32
- 25.82 deg, I 31
- 42.44 deg, I 30
- 29.88 deg, I 26
- 37.29 deg, I 23
- 57.82 deg, I 23

[3]
Diffraction record for Nd3PdPb2. The powder XRD pattern is calculated, not measured: it uses a structure optimized by DFT (PBE) and λ = 1.5418 Å (Cu Kα).

a = 12.708 Å, b = 4.648 Å, c = 12.109 Å
α = 90.00°, β = 90.00°, γ = 90.00°
Fractional coordinates of all 24 atoms:
Nd 0.053 0.250 0.132
Nd 0.125 0.750 0.554
Nd 0.232 0.250 0.801
Nd 0.268 0.750 0.301
Nd 0.375 0.250 0.054
Nd 0.447 0.750 0.632
Nd 0.553 0.250 0.368
Nd 0.625 0.750 0.946
Nd 0.732 0.250 0.699
Nd 0.768 0.750 0.199
Nd 0.875 0.250 0.446
Nd 0.947 0.750 0.868
Pd 0.124 0.250 0.374
Pd 0.376 0.750 0.874
Pd 0.624 0.250 0.126
Pd 0.876 0.750 0.626
Pb 0.001 0.750 0.310
Pb 0.185 0.750 0.004
Pb 0.315 0.250 0.504
Pb 0.499 0.250 0.810
Pb 0.501 0.750 0.190
Pb 0.685 0.750 0.496
Pb 0.815 0.250 0.996
Pb 0.999 0.250 0.690

Most intense lines, 2θ from 5° to 70°, by intensity:
- 32.19 deg, I 100
- 38.75 deg, I 89
- 35.00 deg, I 88
- 29.31 deg, I 81
- 27.98 deg, I 80
- 36.11 deg, I 66
- 38.20 deg, I 55
- 31.81 deg, I 49
- 59.26 deg, I 45
- 43.02 deg, I 43

[4]
Diffraction record for NdPdPb. The powder XRD pattern is calculated, not measured: it uses a structure optimized by DFT (PBE) and λ = 1.5418 Å (Cu Kα).

a = 4.211 Å, b = 4.211 Å, c = 18.027 Å
α = 90.00°, β = 90.00°, γ = 90.00°
Fractional coordinates of all 12 atoms:
Nd 0.000 0.000 0.000
Nd 0.000 0.500 0.250
Nd 0.500 0.000 0.750
Nd 0.500 0.500 0.500
Pd 0.000 0.000 0.556
Pd 0.000 0.500 0.806
Pd 0.500 0.000 0.306
Pd 0.500 0.500 0.056
Pb 0.000 0.000 0.403
Pb 0.000 0.500 0.653
Pb 0.500 0.000 0.153
Pb 0.500 0.500 0.903

Most intense lines, 2θ from 5° to 70°, by intensity:
- 31.65 deg, I 100
- 32.70 deg, I 63
- 42.96 deg, I 44
- 41.09 deg, I 39
- 55.02 deg, I 29
- 21.67 deg, I 26
- 60.95 deg, I 25
- 25.84 deg, I 24
- 42.76 deg, I 19
- 62.38 deg, I 15

[5]
Diffraction record for Nd2PdPb. The powder XRD pattern is calculated, not measured: it uses a structure optimized by DFT (PBE) and λ = 1.5418 Å (Cu Kα).

a = 7.287 Å, b = 6.611 Å, c = 6.551 Å
α = 67.23°, β = 56.77°, γ = 55.99°
Fractional coordinates of all 8 atoms:
Nd 0.228 0.772 0.772
Nd 0.250 0.250 0.250
Nd 0.750 0.750 0.750
Nd 0.772 0.228 0.228
Pd 0.290 0.290 0.710
Pd 0.710 0.710 0.290
Pb 0.273 0.727 0.273
Pb 0.727 0.273 0.727

Most intense lines, 2θ from 5° to 70°, by intensity:
- 32.91 deg, I 100
- 35.09 deg, I 24
- 34.56 deg, I 20
- 61.57 deg, I 13
- 50.07 deg, I 13
- 60.88 deg, I 12
- 44.25 deg, I 11
- 57.69 deg, I 9
- 69.02 deg, I 9
- 57.33 deg, I 9

[6]
Diffraction record for Pm5NdPb5. The powder XRD pattern is calculated, not measured: it uses a structure optimized by DFT (PBE) and λ = 1.5418 Å (Cu Kα).

a = 7.958 Å, b = 7.958 Å, c = 8.795 Å
α = 105.92°, β = 105.92°, γ = 47.41°
Fractional coordinates of all 11 atoms:
Pm 0.000 0.000 0.000
Pm 0.332 0.332 0.667
Pm 0.335 0.335 0.165
Pm 0.665 0.665 0.835
Pm 0.668 0.668 0.333
Nd 0.000 0.000 0.500
Pb 0.166 0.166 0.328
Pb 0.166 0.166 0.836
Pb 0.500 0.500 0.500
Pb 0.834 0.834 0.164
Pb 0.834 0.834 0.672

Most intense lines, 2θ from 5° to 70°, by intensity:
- 27.91 deg, I 100
- 39.91 deg, I 78
- 28.00 deg, I 50
- 65.27 deg, I 28
- 48.51 deg, I 22
- 38.86 deg, I 21
- 50.36 deg, I 20
- 41.05 deg, I 18
- 65.44 deg, I 9
- 57.62 deg, I 7

[7]
Diffraction record for Pm5NdPb8. The powder XRD pattern is calculated, not measured: it uses a structure optimized by DFT (PBE) and λ = 1.5418 Å (Cu Kα).

a = 8.298 Å, b = 8.298 Å, c = 8.298 Å
α = 110.42°, β = 110.42°, γ = 107.59°
Fractional coordinates of all 14 atoms:
Pm 0.000 0.000 0.000
Pm 0.127 0.250 0.624
Pm 0.497 0.873 0.123
Pm 0.625 0.503 0.376
Pm 0.750 0.375 0.877
Nd 0.250 0.750 0.500
Pb 0.038 0.621 0.752
Pb 0.210 0.461 0.083
Pb 0.379 0.127 0.917
Pb 0.379 0.131 0.416
Pb 0.539 0.621 0.748
Pb 0.715 0.962 0.584
Pb 0.869 0.285 0.248
Pb 0.873 0.790 0.252

Most intense lines, 2θ from 5° to 70°, by intensity:
- 28.91 deg, I 100
- 29.74 deg, I 91
- 29.84 deg, I 90
- 35.12 deg, I 87
- 34.68 deg, I 86
- 35.38 deg, I 85
- 46.73 deg, I 45
- 45.89 deg, I 28
- 22.88 deg, I 27
- 60.19 deg, I 26